# NdSmCr4O12
Theoretical powder XRD pattern, λ = 1.5418 Å (Cu Kα). Input: a structure optimized by DFT (PBE+U).
Peak positions follow from Bragg's law for the DFT cell and can differ from measured ones.

Most intense lines, 2θ = 10–90°, low angle first:
two_theta  intensity  index
20.40  100  1 1 1
33.47  32  0 2 2
33.63  30  2 0 2
33.74  34  2 2 0
39.42  16  1 1 3
39.61  18  1 3 1
39.88  18  3 1 1
60.07  14  2 4 2

Structure:
a = 7.4810 Å, b = 7.5483 Å, c = 7.5972 Å
α = 90.00°, β = 90.00°, γ = 90.00°
Space group Amm2 (No. 38)
Unique sites:
Nd1 0.0000 0.0000 0.0000 [2 per cell]
Sm1 0.5000 0.0000 0.4673 [2 per cell]
Cr1 0.2512 0.2474 0.7385 [8 per cell]
O1 0.0000 0.2146 0.2189 [4 per cell]
O2 0.2089 0.0000 0.7657 [4 per cell]
O3 0.2551 0.2164 0.4755 [8 per cell]
O4 0.2918 0.0000 0.1997 [4 per cell]
O5 0.5000 0.1997 0.7184 [4 per cell]

# K3CoPCO7
Theoretical powder XRD pattern, λ = 1.5418 Å (Cu Kα). Input: a structure optimized by DFT (PBE+U).
Peak positions follow from Bragg's law for the DFT cell and can differ from measured ones.

Most intense lines, 2θ = 10–90°, low angle first:
two_theta  intensity  index
18.22  11  0 0 2
25.56  22  2 0 0
31.60  100  0 2 2
31.76  31  2 -2 2
32.21  27  0 2 -4
42.73  27  0 1 -5
45.45  11  2 -4 0
52.51  13  4 0 0

Structure:
a = 6.9705 Å, b = 11.1196 Å, c = 11.1207 Å
α = 118.88°, β = 90.01°, γ = 90.00°
Space group P1 (No. 1)
Unique sites:
K1 0.0000 0.0000 0.0000 [1 per cell]
K2 0.0004 0.4987 0.4988 [1 per cell]
K3 0.0203 0.4653 0.0466 [1 per cell]
K4 0.0209 0.9658 0.5461 [1 per cell]
K5 0.2594 0.8252 0.1863 [1 per cell]
K6 0.2610 0.3251 0.6859 [1 per cell]
K7 0.5003 0.4653 0.0458 [1 per cell]
K8 0.4997 0.9635 0.5446 [1 per cell]
K9 0.5205 0.4981 0.4981 [1 per cell]
K10 0.5210 0.9982 0.9985 [1 per cell]
K11 0.7592 0.1382 0.3583 [1 per cell]
K12 0.7624 0.6386 0.8590 [1 per cell]
Co1 0.2602 0.7776 0.7184 [1 per cell]
Co2 0.2609 0.2778 0.2171 [1 per cell]
Co3 0.7600 0.1860 0.8261 [1 per cell]
Co4 0.7613 0.6859 0.3274 [1 per cell]
P1 0.2596 0.6402 0.3508 [1 per cell]
P2 0.2608 0.1397 0.8500 [1 per cell]
P3 0.7592 0.3232 0.1937 [1 per cell]
P4 0.7610 0.8239 0.6945 [1 per cell]
C1 0.2589 0.1515 0.3589 [1 per cell]
C2 0.2610 0.6512 0.8592 [1 per cell]
C3 0.7594 0.8123 0.1858 [1 per cell]
C4 0.7606 0.3125 0.6855 [1 per cell]
O1 0.0781 0.6997 0.3155 [1 per cell]
O2 0.0793 0.1989 0.8145 [1 per cell]
O3 0.2540 0.0868 0.2245 [1 per cell]
O4 0.2570 0.4802 0.2616 [1 per cell]
O5 0.2585 0.0863 0.4284 [1 per cell]
O6 0.2593 0.5865 0.7246 [1 per cell]
O7 0.2604 0.6813 0.5054 [1 per cell]
O8 0.2602 0.9800 0.7603 [1 per cell]
O9 0.2611 0.1808 0.0048 [1 per cell]
O10 0.2617 0.5863 0.9287 [1 per cell]
O11 0.2620 0.7859 0.9191 [1 per cell]
O12 0.2645 0.2860 0.4190 [1 per cell]
O13 0.4410 0.6977 0.3136 [1 per cell]
O14 0.4422 0.1984 0.8137 [1 per cell]
O15 0.5779 0.2642 0.2296 [1 per cell]
O16 0.5795 0.7649 0.7301 [1 per cell]
O17 0.7530 0.8770 0.3202 [1 per cell]
O18 0.7570 0.4833 0.2823 [1 per cell]
O19 0.7600 0.1778 0.6255 [1 per cell]
O20 0.7597 0.2814 0.0390 [1 per cell]
O21 0.7595 0.8773 0.1162 [1 per cell]
O22 0.7606 0.3771 0.8200 [1 per cell]
O23 0.7612 0.3775 0.6160 [1 per cell]
O24 0.7610 0.7831 0.5397 [1 per cell]
O25 0.7611 0.9836 0.7844 [1 per cell]
O26 0.7657 0.6778 0.1259 [1 per cell]
O27 0.9408 0.2661 0.2312 [1 per cell]
O28 0.9425 0.7649 0.7303 [1 per cell]

# MgMn6O11F
Theoretical powder XRD pattern, λ = 1.5418 Å (Cu Kα). Input: a structure optimized by DFT (PBE+U).
Peak positions follow from Bragg's law for the DFT cell and can differ from measured ones.

Most intense lines, 2θ = 10–90°, low angle first:
two_theta  intensity  index
23.32  100  -1 1 1
27.78  70  1 1 -1
35.66  22  1 -2 2
35.79  15  0 2 0
35.90  21  1 0 2
36.18  30  0 1 -3
54.98  13  1 2 -4
57.40  17  2 2 -2

Structure:
a = 5.6832 Å, b = 5.8788 Å, c = 7.5773 Å
α = 106.65°, β = 99.43°, γ = 112.47°
Space group P1 (No. 1)
Unique sites:
Mg1 0.0000 0.0000 0.0000 [1 per cell]
Mn1 0.0051 0.0314 0.5158 [1 per cell]
Mn2 0.0283 0.4843 0.9724 [1 per cell]
Mn3 0.3198 0.5783 0.3749 [1 per cell]
Mn4 0.3710 0.0175 0.8214 [1 per cell]
Mn5 0.6362 0.0348 0.1780 [1 per cell]
Mn6 0.6809 0.4685 0.6250 [1 per cell]
O1 0.0420 0.7038 0.8225 [1 per cell]
O2 0.1131 0.1725 0.7937 [1 per cell]
O3 0.2377 0.8630 0.5473 [1 per cell]
O4 0.3036 0.3319 0.5023 [1 per cell]
O5 0.3611 0.7233 0.1733 [1 per cell]
O6 0.4156 0.1700 0.0986 [1 per cell]
O7 0.5931 0.8747 0.9058 [1 per cell]
O8 0.6564 0.3226 0.8258 [1 per cell]
O9 0.6997 0.7105 0.4936 [1 per cell]
O10 0.7704 0.1896 0.4530 [1 per cell]
O11 0.9776 0.3236 0.1666 [1 per cell]
F1 0.8990 0.8692 0.2115 [1 per cell]

# Li4CrFe3O8
Theoretical powder XRD pattern, λ = 1.5418 Å (Cu Kα). Input: a structure optimized by DFT (PBE+U).
Peak positions follow from Bragg's law for the DFT cell and can differ from measured ones.

Most intense lines, 2θ = 10–90°, low angle first:
two_theta  intensity  index
18.17  100  0 0 1
35.34  43  2 0 -1
36.96  13  2 0 0
42.89  81  1 2 1
46.94  14  1 2 -2
62.17  22  2 0 2
62.37  22  0 4 0
65.55  14  3 2 0

Structure:
a = 5.1605 Å, b = 5.9516 Å, c = 5.1795 Å
α = 90.00°, β = 109.46°, γ = 90.00°
Space group P2/m (No. 10)
Unique sites:
Li1 0.0000 0.0000 0.0000 [1 per cell]
Li2 0.0000 0.5000 0.0000 [1 per cell]
Li3 0.5000 0.2492 0.0000 [2 per cell]
Cr1 0.5000 0.0000 0.5000 [1 per cell]
Fe1 0.0000 0.2501 0.5000 [2 per cell]
Fe2 0.5000 0.5000 0.5000 [1 per cell]
O1 0.2418 0.5000 0.7294 [2 per cell]
O2 0.2445 0.0000 0.7266 [2 per cell]
O3 0.2582 0.2489 0.2725 [4 per cell]

# Na2Nb2W2O13
Theoretical powder XRD pattern, λ = 1.5418 Å (Cu Kα). Input: a structure optimized by DFT (PBE+U).
Peak positions follow from Bragg's law for the DFT cell and can differ from measured ones.

Most intense lines, 2θ = 10–90°, low angle first:
two_theta  intensity  index
14.58  100  1 0 1
28.06  35  1 2 1
28.24  17  1 0 3
29.40  73  0 2 2
33.99  14  2 2 0
49.04  22  2 2 4
58.03  21  4 2 2
58.41  10  2 0 6

Structure:
a = 7.4527 Å, b = 7.4695 Å, c = 10.4657 Å
α = 90.00°, β = 90.00°, γ = 90.00°
Space group Imm2 (No. 44)
Unique sites:
Na1 0.0000 0.2462 0.0000 [4 per cell]
Nb1 0.2477 0.5000 0.2512 [4 per cell]
W1 0.0000 0.2503 0.4999 [4 per cell]
O1 0.0000 0.0000 0.1695 [2 per cell]
O2 0.0000 0.0000 0.4375 [2 per cell]
O3 0.0000 0.0000 0.8168 [2 per cell]
O4 0.0000 0.5000 0.1775 [2 per cell]
O5 0.0000 0.5000 0.5543 [2 per cell]
O6 0.1837 0.1870 0.6196 [8 per cell]
O7 0.1858 0.3122 0.3773 [8 per cell]

# VZn2IrO6
Theoretical powder XRD pattern, λ = 1.5418 Å (Cu Kα). Input: a structure optimized by DFT (PBE+U).
Peak positions follow from Bragg's law for the DFT cell and can differ from measured ones.

Most intense lines, 2θ = 10–90°, low angle first:
two_theta  intensity  index
20.56  26  1 0 0
20.74  70  0 1 1
33.74  100  1 1 1
34.06  97  1 1 -3
34.55  92  0 2 0
47.73  26  0 0 4
49.66  41  2 2 -2
61.74  24  3 1 -5

Structure:
a = 5.1988 Å, b = 5.1868 Å, c = 9.1708 Å
α = 90.00°, β = 123.79°, γ = 90.00°
Space group P2_1/c (No. 14)
Unique sites:
V1 0.0000 0.0000 0.0000 [2 per cell]
Zn1 0.2552 0.0364 0.7499 [4 per cell]
Ir1 0.5000 0.0000 0.5000 [2 per cell]
O1 0.1031 0.1873 0.4354 [4 per cell]
O2 0.2508 0.6710 0.4379 [4 per cell]
O3 0.3652 0.0722 0.2444 [4 per cell]

# Ba2Pr3Co5O15
Theoretical powder XRD pattern, λ = 1.5418 Å (Cu Kα). Input: a structure optimized by DFT (PBE+U).
Peak positions follow from Bragg's law for the DFT cell and can differ from measured ones.

Most intense lines, 2θ = 10–90°, low angle first:
two_theta  intensity  index
32.15  100  1 3 1
32.35  99  3 1 2
32.53  49  2 -2 1
32.65  48  2 2 -1
39.94  37  1 1 -3
45.74  33  2 2 4
46.47  31  0 4 -2
47.05  29  4 0 0

Structure:
a = 8.6844 Å, b = 8.7703 Å, c = 8.8396 Å
α = 89.27°, β = 65.73°, γ = 78.21°
Space group P-1 (No. 2)
Unique sites:
Ba1 0.0006 0.4014 0.3014 [2 per cell]
Ba2 0.0015 0.1981 0.9008 [2 per cell]
Pr1 0.0000 0.0000 0.5000 [1 per cell]
Pr2 0.4981 0.3025 0.0981 [2 per cell]
Pr3 0.4980 0.8967 0.2962 [2 per cell]
Pr4 0.5000 0.5000 0.5000 [1 per cell]
Co1 0.2490 0.4508 0.9005 [2 per cell]
Co2 0.2504 0.0494 0.1005 [2 per cell]
Co3 0.2505 0.2497 0.4988 [2 per cell]
Co4 0.2539 0.6498 0.2978 [2 per cell]
Co5 0.2549 0.8487 0.6975 [2 per cell]
O1 0.0000 0.5000 0.0000 [1 per cell]
O2 0.0080 0.0938 0.2136 [2 per cell]
O3 0.0115 0.2821 0.5915 [2 per cell]
O4 0.2611 0.0326 0.5913 [2 per cell]
O5 0.2643 0.1358 0.2989 [2 per cell]
O6 0.2644 0.8470 0.2045 [2 per cell]
O7 0.2663 0.7491 0.4861 [2 per cell]
O8 0.2702 0.3449 0.6911 [2 per cell]
O9 0.2699 0.6545 0.7848 [2 per cell]
O10 0.2726 0.2456 0.9966 [2 per cell]
O11 0.2727 0.4499 0.3873 [2 per cell]
O12 0.2725 0.5525 0.0925 [2 per cell]
O13 0.2741 0.9450 0.8931 [2 per cell]
O14 0.4890 0.1981 0.4056 [2 per cell]
O15 0.4946 0.4001 0.8019 [2 per cell]
O16 0.5000 0.0000 0.0000 [1 per cell]

# Sr2LiCdWO6
Theoretical powder XRD pattern, λ = 1.5418 Å (Cu Kα). Input: a structure optimized by DFT (PBE+U).
Peak positions follow from Bragg's law for the DFT cell and can differ from measured ones.

Most intense lines, 2θ = 10–90°, low angle first:
two_theta  intensity  index
18.01  19  1 1 -1
29.28  65  0 2 1
29.71  100  2 0 0
29.85  39  2 0 -2
41.72  20  0 4 0
42.05  18  0 0 2
43.23  18  4 0 -2
52.11  24  2 4 -2

Structure:
a = 8.3711 Å, b = 8.6594 Å, c = 5.9894 Å
α = 90.00°, β = 134.16°, γ = 90.00°
Space group Cm (No. 8)
Unique sites:
Sr1 0.0000 0.2166 0.0000 [4 per cell]
Li1 0.3585 0.0000 0.7528 [2 per cell]
Cd1 0.4401 0.5000 0.4293 [2 per cell]
W1 0.4810 0.0000 0.4493 [2 per cell]
O1 0.1354 0.5000 0.9084 [2 per cell]
O2 0.1786 0.0000 0.3398 [2 per cell]
O3 0.2881 0.5000 0.6143 [2 per cell]
O4 0.2999 0.0000 0.9812 [2 per cell]
O5 0.4626 0.2254 0.4245 [4 per cell]